1.
Diffraction record for Li2MnFeB2O6. The PXRD pattern is computed, not measured: it uses the GGA+U geometry in the Materials Project and Cu Kα X-rays.

Cell and atoms:
```
Li2MnFeB2O6
1.0
5.2397 0.0000 0.0000
-0.1031 5.9908 0.0000
-0.1082 -1.8288 7.9955
Li Mn Fe B O
4 2 2 4 12
direct
0.0945 0.2951 0.4714
0.4013 0.2050 0.0279
0.5987 0.7950 0.9721
0.9055 0.7049 0.5286
0.4211 0.9329 0.6713
0.5789 0.0671 0.3287
0.0881 0.5720 0.8337
0.9119 0.4280 0.1663
0.0772 0.9136 0.1538
0.4209 0.5818 0.3428
0.5791 0.4182 0.6572
0.9228 0.0864 0.8462
0.0381 0.9118 0.7319
0.0723 0.2683 0.9397
0.1616 0.5688 0.3660
0.3361 0.9234 0.1259
0.4309 0.2376 0.5619
0.4564 0.5905 0.7710
0.5436 0.4095 0.2290
0.5691 0.7624 0.4381
0.6639 0.0766 0.8741
0.8384 0.4312 0.6340
0.9277 0.7317 0.0603
0.9619 0.0882 0.2681
```

Largest 6 diffraction maxima, by intensity, 2θ from 15° to 90°:
d [Å]  I (rel.)  h k l
2.657  100  0 2 -2
4.347  83  1 0 1
3.940  62  1 -1 0
2.209  54  2 0 -2
3.998  34  0 0 2
2.631  32  -1 1 2

2.
Diffraction record for Li8Mn7FeB8O24. The PXRD pattern is computed, not measured: it uses the GGA+U geometry in the Materials Project and Cu Kα X-rays.

Cell and atoms:
```
Li8Mn7FeB8O24
1.0
5.2522 0.0000 0.0000
0.0226 9.1246 0.0000
0.1735 0.3209 10.5201
Li Mn Fe B O
8 7 1 8 24
direct
0.0000 0.0000 0.0000
0.0149 0.9954 0.4996
0.3262 0.3429 0.2508
0.3680 0.3286 0.7508
0.4999 0.4993 0.0006
0.5156 0.4944 0.5003
0.8262 0.8432 0.2506
0.8670 0.8301 0.7510
0.0099 0.3317 0.9640
0.0107 0.6666 0.4656
0.3384 0.0076 0.2159
0.3576 0.6670 0.7162
0.5112 0.8332 0.9664
0.5122 0.1669 0.4680
0.8388 0.5067 0.2154
0.8650 0.1669 0.7149
0.0088 0.3360 0.4592
0.0163 0.6661 0.9582
0.3368 0.6701 0.2086
0.3543 0.0004 0.7099
0.5076 0.8361 0.4588
0.5165 0.1661 0.9573
0.8367 0.1701 0.2085
0.8511 0.4970 0.7076
0.0840 0.6850 0.2496
0.0915 0.9888 0.6957
0.2703 0.3478 0.4441
0.2762 0.6502 0.9279
0.3537 0.9580 0.4288
0.3739 0.0450 0.0003
0.3969 0.7040 0.5006
0.4037 0.3030 0.9435
0.4450 0.5329 0.1940
0.4743 0.1343 0.6808
0.4823 0.7956 0.1786
0.4978 0.8791 0.7491
0.5843 0.1850 0.2499
0.5907 0.4836 0.6935
0.7693 0.8480 0.4441
0.7756 0.1497 0.9261
0.8544 0.4574 0.4282
0.8744 0.5443 0.0000
0.8982 0.2043 0.5020
0.9036 0.8028 0.9435
0.9447 0.0328 0.1938
0.9682 0.6324 0.6792
0.9826 0.2953 0.1783
0.9970 0.3763 0.7472
```

Largest 6 diffraction maxima, by intensity, 2θ from 15° to 90°:
d [Å]  I (rel.)  h k l
2.630  100  0 0 4
4.551  42  1 -1 0
4.137  38  1 1 -1
2.241  30  0 4 1
3.497  29  1 1 2
4.174  24  -1 1 1

3.
Diffraction record for Li5Mn2FeB4O12. The PXRD pattern is computed, not measured: it uses the GGA+U geometry in the Materials Project and Cu Kα X-rays.

Cell and atoms:
```
Li5Mn2FeB4O12
1.0
5.2973 0.0000 0.0000
0.0000 9.1590 0.0000
-4.9976 0.0000 9.7621
Li Mn Fe B O
10 4 2 8 24
direct
0.0000 0.0813 0.0000
0.0000 0.9187 0.5000
0.0310 0.2353 0.5220
0.0310 0.7647 0.0220
0.0420 0.2663 0.2094
0.0420 0.7337 0.7094
0.0875 0.4186 0.7436
0.0875 0.5814 0.2436
0.4788 0.2453 0.9914
0.4788 0.7547 0.4914
0.5139 0.4290 0.4902
0.5139 0.5710 0.9902
0.5670 0.0806 0.2474
0.5670 0.9194 0.7474
0.6102 0.2550 0.7607
0.6102 0.7450 0.2607
0.0874 0.0747 0.7496
0.0874 0.9253 0.2496
0.5109 0.0852 0.5058
0.5109 0.9148 0.0058
0.5774 0.4103 0.2391
0.5774 0.5897 0.7391
0.9948 0.4252 0.9887
0.9948 0.5748 0.4887
0.1567 0.0608 0.2173
0.1567 0.9392 0.7173
0.2213 0.2032 0.7463
0.2209 0.4112 0.9585
0.2209 0.5888 0.4585
0.2213 0.7968 0.2463
0.3630 0.4145 0.2796
0.3630 0.5855 0.7796
0.4065 0.2166 0.5274
0.4065 0.7834 0.0274
0.4224 0.0460 0.0396
0.4224 0.9540 0.5396
0.6701 0.4587 0.7042
0.6701 0.5413 0.2042
0.7006 0.2830 0.2276
0.7006 0.7170 0.7276
0.7121 0.0843 0.4558
0.7121 0.9157 0.9558
0.8327 0.3013 0.9813
0.8327 0.6987 0.4813
0.8661 0.0833 0.7855
0.8661 0.9167 0.2855
0.9296 0.4391 0.5243
0.9296 0.5609 0.0243
```

Largest 6 diffraction maxima, by intensity, 2θ from 15° to 90°:
d [Å]  I (rel.)  h k l
4.715  100  1 0 0
2.441  88  0 0 4
2.645  75  1 3 -1
4.308  55  0 1 2
4.587  39  1 0 -2
2.914  36  0 3 1

4.
Diffraction record for Li8MnFe7B8O24. The PXRD pattern is computed, not measured: it uses the GGA+U geometry in the Materials Project and Cu Kα X-rays.

Cell and atoms:
```
Li8MnFe7B8O24
1.0
5.2145 0.0000 0.0000
0.0130 9.0597 0.0000
0.1538 0.2803 10.3595
Li Mn Fe B O
8 1 7 8 24
direct
0.0000 0.0000 0.0000
0.0170 0.9948 0.5002
0.3270 0.3412 0.2499
0.3653 0.3286 0.7505
0.4979 0.5003 0.0003
0.5152 0.4952 0.5007
0.8254 0.8423 0.2512
0.8649 0.8286 0.7502
0.8392 0.5075 0.2160
0.0035 0.6680 0.4660
0.0178 0.3321 0.9659
0.3331 0.0077 0.2152
0.3627 0.6658 0.7150
0.5045 0.1681 0.4667
0.5172 0.8317 0.9668
0.8622 0.1654 0.7157
0.0072 0.3340 0.4603
0.0150 0.6646 0.9581
0.3370 0.6716 0.2095
0.3525 0.9991 0.7095
0.5066 0.8349 0.4595
0.5153 0.1645 0.9589
0.8382 0.1690 0.2089
0.8523 0.4989 0.7095
0.0829 0.6871 0.2508
0.0879 0.9864 0.6962
0.2723 0.3446 0.4465
0.2757 0.6526 0.9279
0.3576 0.9588 0.4284
0.3729 0.0413 0.9998
0.3925 0.7027 0.5002
0.3980 0.3020 0.9459
0.4429 0.5324 0.1950
0.4701 0.1343 0.6794
0.4847 0.7971 0.1789
0.4965 0.8770 0.7491
0.5834 0.1811 0.2490
0.5877 0.4863 0.6961
0.7723 0.8457 0.4472
0.7760 0.1519 0.9283
0.8578 0.4584 0.4307
0.8722 0.5416 0.9980
0.8924 0.2016 0.5000
0.8977 0.8027 0.9461
0.9508 0.0306 0.1960
0.9701 0.6342 0.6795
0.9844 0.2944 0.1783
0.9964 0.3767 0.7488
```

Largest 6 diffraction maxima, by intensity, 2θ from 15° to 90°:
d [Å]  I (rel.)  h k l
2.590  100  0 0 4
2.611  87  2 0 0
4.106  63  1 1 -1
2.223  51  2 2 1
4.518  51  1 -1 0
3.453  48  1 1 2

5.
Diffraction record for Li8Mn7FeB8O24. The PXRD pattern is computed, not measured: it uses the GGA+U geometry in the Materials Project and Cu Kα X-rays.

Cell and atoms:
```
Li8Mn7FeB8O24
1.0
6.0664 0.0000 0.0000
1.9940 8.8074 0.0000
1.8451 1.0649 9.6324
Li Mn Fe B O
8 7 1 8 24
direct
0.0000 0.0000 0.0000
0.0564 0.0684 0.5968
0.2496 0.5015 0.7497
0.3066 0.5690 0.3481
0.5008 0.9998 0.5005
0.5574 0.0665 0.0966
0.7494 0.5007 0.2501
0.8065 0.5686 0.8462
0.0667 0.3283 0.0254
0.2406 0.2398 0.3209
0.3164 0.8278 0.7748
0.4901 0.7403 0.0715
0.5668 0.3283 0.5252
0.7386 0.2402 0.8220
0.8193 0.8271 0.2777
0.9907 0.7367 0.5733
0.0110 0.4033 0.5763
0.0449 0.6670 0.0190
0.2604 0.9018 0.3296
0.2946 0.1669 0.7690
0.5111 0.4020 0.0777
0.5450 0.6668 0.5196
0.7615 0.9010 0.8255
0.7952 0.1664 0.2690
0.0937 0.5508 0.9341
0.1202 0.1694 0.8833
0.1393 0.7815 0.3644
0.1654 0.7872 0.9865
0.1862 0.3993 0.4628
0.2120 0.0186 0.4134
0.3440 0.0506 0.6845
0.3695 0.6691 0.6333
0.3919 0.2809 0.1093
0.4143 0.2877 0.7366
0.4327 0.8987 0.2143
0.4611 0.5178 0.1629
0.5950 0.5507 0.4346
0.6209 0.1690 0.3834
0.6411 0.7808 0.8598
0.6660 0.7867 0.4883
0.6854 0.4001 0.9633
0.7142 0.0169 0.9106
0.8442 0.0501 0.1844
0.8710 0.6696 0.1336
0.8912 0.2829 0.6110
0.9151 0.2871 0.2368
0.9334 0.8982 0.7100
0.9606 0.5224 0.6587
```

Largest 6 diffraction maxima, by intensity, 2θ from 15° to 90°:
d [Å]  I (rel.)  h k l
2.696  100  2 0 2
4.377  77  0 2 0
3.952  59  -1 1 1
4.037  34  0 1 -2
2.215  34  0 2 4
2.641  32  1 0 -3

6.
Diffraction record for Li4Mn3FeB4O12. The PXRD pattern is computed, not measured: it uses the GGA+U geometry in the Materials Project and Cu Kα X-rays.

Cell and atoms:
```
Li4Mn3FeB4O12
1.0
5.2385 0.0000 0.0000
-2.6091 4.5569 0.0000
-0.2777 -0.6275 20.9196
Li Mn Fe B O
8 6 2 8 24
direct
0.0000 0.0000 0.0000
0.9999 0.0003 0.5000
0.0104 0.9914 0.7503
0.0134 0.9904 0.2499
0.6700 0.6856 0.3751
0.6700 0.6870 0.8747
0.6967 0.6599 0.6247
0.6977 0.6594 0.1250
0.0240 0.3363 0.1431
0.3421 0.6648 0.5176
0.3448 0.6676 0.0173
0.3462 0.0149 0.8921
0.3482 0.0166 0.3917
0.6791 0.3343 0.7662
0.0309 0.3331 0.6425
0.6729 0.3379 0.2674
0.0073 0.3410 0.8957
0.0081 0.3417 0.3952
0.3428 0.6701 0.2706
0.3451 0.6729 0.7702
0.3510 0.9976 0.1465
0.3520 0.9990 0.6456
0.6823 0.3324 0.5216
0.6831 0.3335 0.0209
0.0754 0.9682 0.1534
0.0772 0.9779 0.6525
0.0941 0.4064 0.2515
0.1027 0.4085 0.7491
0.2791 0.5915 0.9108
0.2792 0.5920 0.4106
0.3111 0.9157 0.7855
0.3218 0.9197 0.2850
0.3709 0.7535 0.6268
0.3822 0.7603 0.1257
0.4184 0.0899 0.5002
0.4182 0.0909 0.9998
0.6013 0.2690 0.1619
0.6067 0.2676 0.6594
0.6164 0.6874 0.2769
0.6190 0.6971 0.7778
0.7073 0.6067 0.5284
0.7080 0.6074 0.0282
0.7702 0.3720 0.3746
0.7699 0.3720 0.8750
0.9262 0.3000 0.0363
0.9259 0.2997 0.5371
0.9773 0.0661 0.9030
0.9781 0.0666 0.4025
```

Largest 6 diffraction maxima, by intensity, 2θ from 15° to 90°:
d [Å]  I (rel.)  h k l
2.616  100  0 0 8
4.542  50  1 -1 0
4.130  45  1 0 2
2.627  42  1 -2 0
3.482  35  1 0 -4
3.386  22  1 0 4